This entry pairs a crystal structure of TlZnBiS3 with its computed X-ray powder pattern. Radiation: Cu Kα (weighted mean of Kα1 and Kα2). Structure: the GGA-PBE geometry in Alexandria.

Most intense lines, 2θ from 15° to 90°, in order of rising 2θ:
2θ (°)  I/Imax
19.46  14.5
24.07  33.9
24.34  18.3
24.69  32.6
29.37  21.7
29.52  23.7
30.03  100.0
38.54  15.4
44.81  20.0
46.24  18.1

Atomic structure:
```
TlZnBiS3
1.0
9.054 0.000 0.000
0.000 4.044 0.000
-2.131 0.000 9.122
Tl Zn Bi S
2 2 2 6
direct
0.184 0.250 0.216 Tl
0.816 0.750 0.784 Tl
0.086 0.250 0.601 Zn
0.914 0.750 0.399 Zn
0.342 0.750 0.857 Bi
0.658 0.250 0.143 Bi
0.128 0.250 0.859 S
0.182 0.750 0.516 S
0.429 0.750 0.147 S
0.571 0.250 0.853 S
0.818 0.250 0.484 S
0.872 0.750 0.141 S
```